The following is a simulated X-ray powder pattern of LiSe2O6. It was derived from a structure optimized by DFT (PBE), using Cu Kα X-rays.
Peak positions follow from Bragg's law for the DFT cell and can differ from measured ones.

Structural model:
Lattice parameters (Å, degrees): 5.6259 8.0702 7.4114 90.00 121.45 90.00
Atoms (fractional coordinates):
Li: 0.0000 0.2489 0.0000
Li: 0.0000 0.7511 0.5000
Se: 0.3259 0.1282 0.7408
Se: 0.3259 0.8718 0.2408
Se: 0.6728 0.3775 0.2646
Se: 0.6728 0.6225 0.7646
O: 0.1026 0.0152 0.5319
O: 0.1026 0.9848 0.0319
O: 0.1724 0.2725 0.8065
O: 0.1724 0.7275 0.3065
O: 0.4071 0.3155 0.2858
O: 0.4071 0.6845 0.7857
O: 0.5867 0.2032 0.7211
O: 0.5867 0.7968 0.2211
O: 0.8075 0.2282 0.1902
O: 0.8075 0.7718 0.6902
O: 0.9081 0.4870 0.4700
O: 0.9081 0.5130 0.9700

Main lines, in order of falling intensity (10 to 80 degrees two-theta):
h k l  2θ/deg  d/Å  Rel. int.
0 2 1  26.2  3.401  100
1 1 0  21.5  4.125  65
1 1 -1  19.7  4.499  61
0 0 2  28.2  3.161  44
1 1 1  30.7  2.909  37
1 2 -1  27.6  3.237  35
1 0 -2  24.3  3.659  30
2 1 -2  34.9  2.569  22
1 2 -3  43.1  2.099  17
0 2 3  48.7  1.868  16

=====

The following is a simulated X-ray powder pattern of LiTiSe2O. It was derived from a structure optimized by DFT (PBE), using Cu Kα X-rays.
Peak positions follow from Bragg's law for the DFT cell and can differ from measured ones.

Structural model:
Lattice parameters (Å, degrees): 3.4787 3.4787 25.8727 90.00 90.00 120.00
Atoms (fractional coordinates):
Li: 0.0000 0.0000 0.0000
Li: 0.3333 0.6667 0.3293
Li: 0.6667 0.3333 0.6662
Ti: 0.0000 0.0000 0.1646
Ti: 0.3333 0.6667 0.4958
Ti: 0.6667 0.3333 0.8321
Se: 0.0000 0.0000 0.5563
Se: 0.0000 0.0000 0.7713
Se: 0.3333 0.6667 0.1035
Se: 0.3333 0.6667 0.8930
Se: 0.6667 0.3333 0.2254
Se: 0.6667 0.3333 0.4346
O: 0.0000 0.0000 0.3282
O: 0.3333 0.6667 0.6663
O: 0.6667 0.3333 0.9990

Main lines, in order of falling intensity (10 to 80 degrees two-theta):
h k l  2θ/deg  d/Å  Rel. int.
0 0 3  10.3  8.624  100
1 0 5  34.4  2.604  93
1 1 0  52.6  1.739  29
0 1 10  46.3  1.963  29
0 1 4  32.8  2.731  25
1 0 8  40.9  2.204  20
1 0 2  30.5  2.934  16
0 0 9  31.1  2.875  14
0 1 13  55.3  1.661  14
0 2 5  64.4  1.446  14

=====

The following is a simulated X-ray powder pattern of LiTiSe2O2. It was derived from a structure optimized by DFT (PBE), using Cu Kα X-rays.
Peak positions follow from Bragg's law for the DFT cell and can differ from measured ones.

Structural model:
Lattice parameters (Å, degrees): 3.4666 3.4666 9.6153 90.00 90.00 120.00
Atoms (fractional coordinates):
Li: 0.0000 0.0000 0.0000
Ti: 0.0000 0.0000 0.5000
Se: 0.3333 0.6667 0.6648
Se: 0.6667 0.3333 0.3352
O: 0.3333 0.6667 0.0599
O: 0.6667 0.3333 0.9401

Main lines, in order of falling intensity (10 to 80 degrees two-theta):
h k l  2θ/deg  d/Å  Rel. int.
0 1 2  35.2  2.546  100
0 1 1  31.2  2.866  64
1 0 3  41.2  2.191  41
1 1 0  52.8  1.733  34
1 0 4  48.5  1.876  26
0 0 3  27.8  3.205  21
0 1 5  56.9  1.619  20
2 0 2  65.1  1.433  15
1 1 3  60.7  1.525  13
1 1 1  53.7  1.706  10

=====

The following is a simulated X-ray powder pattern of LiZr2Se2O2. It was derived from a structure optimized by DFT (PBE), using Cu Kα X-rays.
Peak positions follow from Bragg's law for the DFT cell and can differ from measured ones.

Structural model:
Lattice parameters (Å, degrees): 3.6360 3.6360 9.0203 90.00 90.00 90.00
Atoms (fractional coordinates):
Li: 0.0000 0.0000 0.0000
Zr: 0.0000 0.5000 0.3665
Zr: 0.5000 0.0000 0.6335
Se: 0.0000 0.5000 0.7965
Se: 0.5000 0.0000 0.2035
O: 0.0000 0.0000 0.5000
O: 0.5000 0.5000 0.5000

Main lines, in order of falling intensity (10 to 80 degrees two-theta):
h k l  2θ/deg  d/Å  Rel. int.
1 0 2  31.6  2.831  100
1 1 0  34.9  2.571  48
1 0 3  38.9  2.317  34
2 1 2  60.5  1.530  30
2 0 0  50.2  1.818  26
1 1 2  40.4  2.234  24
1 0 4  47.4  1.916  15
2 1 3  65.2  1.430  14
0 0 2  19.7  4.510  14
1 1 5  62.9  1.477  13